No. 1
Theoretical X-ray diffraction stick pattern
Compound: Na4NdSm3Se8
Radiation: Cu Kα
Structure: a crystal structure in Alexandria, relaxed with GGA-PBE
Kinematic intensities with the Lorentz-polarization factor, no thermal factor.

Principal peaks in the range 10° ≤ 2θ ≤ 90°, low angle first:
2θ/deg  intensity
12.6  43
24.6  20
29.6  100
42.2  37
42.6  37
52.7  20
61.5  12
69.5  16
70.0  16
77.7  12

Atomic structure:
```
Na4NdSm3Se8
1.0
4.246 2.452 7.013
-4.246 2.452 7.013
0.000 -4.903 7.013
Na Nd Sm Se
4 1 3 8
direct
0.000 0.000 0.000
0.000 0.500 0.500
0.500 0.000 0.500
0.500 0.500 0.000
0.500 0.500 0.500
0.000 0.000 0.500
0.000 0.500 0.000
0.500 0.000 0.000
0.242 0.746 0.746
0.244 0.244 0.244
0.254 0.254 0.758
0.254 0.758 0.254
0.746 0.242 0.746
0.746 0.746 0.242
0.756 0.756 0.756
0.758 0.254 0.254
```

No. 2
Theoretical X-ray diffraction stick pattern
Compound: NaSrNd
Radiation: Cu Kα
Structure: a crystal structure in Alexandria, relaxed with GGA-PBE
Kinematic intensities with the Lorentz-polarization factor, no thermal factor.

Principal peaks in the range 10° ≤ 2θ ≤ 90°, low angle first:
2θ/deg  intensity
25.3  17
28.2  100
31.8  17
32.3  36
32.8  12
33.2  15
46.4  13
47.0  22
55.1  30
56.3  12

Atomic structure:
```
NaSrNd
1.0
3.916 0.000 0.000
0.000 3.916 0.000
0.000 0.000 16.194
Na Sr Nd
2 2 2
direct
0.250 0.250 0.073
0.750 0.750 0.927
0.250 0.250 0.748
0.750 0.750 0.252
0.250 0.250 0.429
0.750 0.750 0.571
```